Starting from a cell relaxed with PBE+U, the powder XRD pattern of Er2TmCo2B2O3 was calculated for Cu Kα, 1.54184 Å.
Lines closer than 0.1° are merged.

Cell and atoms:
Unit cell a=3.376 b=3.376 c=21.168 alpha=90.00 beta=90.00 gamma=90.00
Space group I4/mmm (No. 139)
Unique sites:
Er (0.000, 0.000, 0.138) (multiplicity 4)
Tm (0.000, 0.000, 0.500) (multiplicity 2)
Co (0.000, 0.500, 0.250) (multiplicity 4)
B (0.000, 0.000, 0.292) (multiplicity 4)
O (0.000, 0.000, 0.000) (multiplicity 2)
O (0.000, 0.000, 0.398) (multiplicity 4)

Most intense lines, 5 to 70 degrees two-theta, low angle first:
- 2θ = 29.3°, d 3.045, rel. 100, hkl 1 0 3
- 2θ = 33.9°, d 2.643, rel. 62, hkl 0 0 8
- 2θ = 37.7°, d 2.387, rel. 30, hkl 1 1 0
- 2θ = 45.9°, d 1.977, rel. 33, hkl 1 1 6
- 2θ = 54.9°, d 1.672, rel. 26, hkl 1 0 11
- 2θ = 65.6°, d 1.423, rel. 28, hkl 2 0 8